# 1
This entry pairs a crystal structure of Cs2U2O7 with its computed powder X-ray diffraction pattern. Radiation: Cu Kα (λ = 1.5418 Å). Structure: a DFT-relaxed cell (GGA-PBE, the Materials Project).
Peak positions follow from Bragg's law for the DFT cell and can differ from measured ones.

abc: 14.619 4.359 7.711
angles: 90.00 113.27 90.00
Space group C2/m (No. 12)
Symmetry-distinct sites (fractional):
Cs  0.104  0.000  0.418 (multiplicity 4)
U  0.147  0.500  0.993 (multiplicity 4)
O  0.000  0.500  0.000 (multiplicity 2)
O  0.089  0.500  0.727 (multiplicity 4)
O  0.191  0.000  0.996 (multiplicity 4)
O  0.199  0.500  0.258 (multiplicity 4)

The 8 most intense peaks (10° ≤ 2θ ≤ 90°), sorted by position:
(0 0 1), 2θ 12.49, I = 56; (1 1 -1), 2θ 23.50, I = 52; (0 0 2), 2θ 25.14, I = 51; (1 1 1), 2θ 26.19, I = 81; (4 0 0), 2θ 26.55, I = 49; (3 1 -1), 2θ 27.86, I = 100; (4 0 -2), 2θ 28.53, I = 56; (3 1 -3), 2θ 41.08, I = 32

=====

# 2
This entry pairs a crystal structure of Cs2U2O7 with its computed powder X-ray diffraction pattern. Radiation: Cu Kα (λ = 1.5418 Å). Structure: a DFT-relaxed cell (GGA-PBE, the Materials Project).
Peak positions follow from Bragg's law for the DFT cell and can differ from measured ones.

abc: 14.578 4.332 7.753
angles: 90.00 112.46 90.00
Space group C2 (No. 5)
Symmetry-distinct sites (fractional):
Cs  0.108  0.000  0.430 (multiplicity 4)
U  0.146  0.530  0.993 (multiplicity 4)
O  0.000  0.618  0.000 (multiplicity 2)
O  0.088  0.518  0.730 (multiplicity 4)
O  0.192  0.025  0.996 (multiplicity 4)
O  0.193  0.514  0.255 (multiplicity 4)

The 8 most intense peaks (10° ≤ 2θ ≤ 90°), sorted by position:
(0 0 1), 2θ 12.35, I = 56; (1 1 -1), 2θ 23.60, I = 56; (0 0 2), 2θ 24.86, I = 60; (1 1 1), 2θ 26.16, I = 81; (4 0 0), 2θ 26.46, I = 56; (3 1 -1), 2θ 28.02, I = 100; (4 0 -2), 2θ 28.62, I = 56; (3 1 -3), 2θ 41.06, I = 33

=====

# 3
This entry pairs a crystal structure of CsU2O6 with its computed powder X-ray diffraction pattern. Radiation: Cu Kα (λ = 1.5418 Å). Structure: a DFT-relaxed cell (GGA-PBE, the Materials Project).
Peak positions follow from Bragg's law for the DFT cell and can differ from measured ones.

abc: 11.248 11.248 11.248
angles: 90.00 90.00 90.00
Space group Fd-3m (No. 227, origin choice 2)
Symmetry-distinct sites (fractional):
Cs  0.125  0.125  0.125 (multiplicity 8)
U  0.000  0.000  0.500 (multiplicity 16)
O  0.065  0.375  0.875 (multiplicity 48)

The 8 most intense peaks (10° ≤ 2θ ≤ 90°), sorted by position:
(1 1 1), 2θ 13.64, I = 37; (3 1 1), 2θ 26.28, I = 100; (2 2 2), 2θ 27.47, I = 59; (3 3 3), 2θ 41.73, I = 36; (4 4 0), 2θ 45.63, I = 42; (5 3 3), 2θ 53.42, I = 16; (6 2 2), 2θ 54.08, I = 28; (7 3 1), 2θ 63.53, I = 27